Entry 1:
The following is a computed powder diffraction line list of Tb6Er19Sc4. It was derived from a PBE-relaxed structure, using Cu Kα.
Kinematic intensities with the Lorentz-polarization factor, no thermal factor.

```
Tb6Er19Sc4
1.0
-6.105 6.105 6.105
6.105 -6.105 6.105
6.105 6.105 -6.105
Tb Er Sc
6 19 4
Cartesian
6.105 0.000 1.571
6.105 4.535 0.000
1.571 6.105 0.000
4.535 0.000 6.105
0.000 1.571 6.105
0.000 6.105 4.535
0.000 0.000 0.000
3.158 0.000 0.000
9.052 0.000 0.000
6.909 -2.718 2.947
3.387 3.159 -0.804
3.159 -0.804 3.387
0.000 3.158 0.000
0.000 0.000 3.158
8.823 3.159 0.804
2.947 6.909 -2.718
5.302 2.718 2.947
-0.804 3.387 3.159
2.947 5.302 2.718
2.718 2.947 5.302
0.000 9.052 0.000
0.000 0.000 9.052
3.159 0.804 8.823
-2.718 2.947 6.909
0.804 8.823 3.159
3.940 3.940 -3.940
3.940 -3.940 3.940
2.165 2.165 2.165
-3.940 3.940 3.940
```

Principal peaks in the range 2θ = 10–80°, most intense first:
d (Å)  2theta  I/Imax
2.395  37.56  100
3.053  29.26  97
3.263  27.33  96
2.878  31.07  86
2.492  36.03  63
1.503  61.72  41
1.884  48.31  36
1.662  55.28  26
1.727  53.03  25
1.800  50.71  24

=====

Entry 2:
The following is a computed powder diffraction line list of Tb7ErSc12. It was derived from a PBE-relaxed structure, using Cu Kα.
Kinematic intensities with the Lorentz-polarization factor, no thermal factor.

```
Tb7ErSc12
1.0
5.713 3.298 5.011
-5.713 3.298 5.011
0.000 -6.597 5.011
Tb Er Sc
7 1 12
Cartesian
0.000 0.000 0.000
-1.924 -0.427 4.439
1.332 -1.453 4.439
0.592 1.880 4.439
-0.592 -1.880 10.596
-1.332 1.453 10.596
1.924 0.427 10.596
0.000 0.000 7.517
-4.965 0.472 6.259
-2.891 -4.064 8.775
-3.133 -0.985 8.259
-0.714 -3.206 6.775
-2.419 2.221 6.775
2.074 -4.536 6.259
-2.074 4.536 8.775
2.419 -2.221 8.259
0.714 3.206 8.259
3.133 0.985 6.775
2.891 4.064 6.259
4.965 -0.472 8.775
```

Principal peaks in the range 2θ = 10–80°, most intense first:
d (Å)  2theta  I/Imax
2.700  33.18  100
2.578  34.80  98
2.651  33.81  49
3.348  26.62  42
2.877  31.09  41
2.755  32.50  34
3.629  24.53  32
3.514  25.35  29
2.993  29.85  27
5.011  17.70  27

=====

Entry 3:
The following is a computed powder diffraction line list of Tb8Er3Sc3. It was derived from a PBE-relaxed structure, using Cu Kα.
Kinematic intensities with the Lorentz-polarization factor, no thermal factor.

```
Tb8Er3Sc3
1.0
-2.758 7.290 5.268
2.758 -7.290 5.268
2.758 7.290 -5.268
Tb Er Sc
8 3 3
Cartesian
2.758 -3.274 3.281
2.758 -5.778 5.262
2.758 5.776 -1.966
2.758 3.263 0.000
0.000 1.514 3.302
2.758 3.274 3.281
0.000 4.027 5.268
2.758 5.778 5.262
2.758 0.000 4.828
0.000 0.000 6.914
0.000 7.290 3.729
2.758 0.000 1.647
0.000 4.617 1.639
0.000 9.964 1.639
```

Principal peaks in the range 2θ = 10–80°, most intense first:
d (Å)  2theta  I/Imax
2.744  32.63  100
2.758  32.46  54
2.578  34.80  47
2.922  30.60  34
2.316  38.89  20
1.590  58.02  19
2.846  31.43  19
4.413  20.12  18
1.843  49.47  15
2.998  29.80  15

=====

Entry 4:
The following is a computed powder diffraction line list of Tb3Er7Sc. It was derived from a PBE-relaxed structure, using Cu Kα.
Kinematic intensities with the Lorentz-polarization factor, no thermal factor.

```
Tb3Er7Sc
1.0
6.939 0.000 0.000
-3.470 6.009 0.000
0.000 0.000 8.478
Tb Er Sc
3 7 1
Cartesian
-1.727 3.009 0.000
1.727 3.009 0.000
0.000 6.000 0.000
0.000 2.023 5.591
-1.717 4.998 5.591
1.746 1.008 2.823
1.717 4.998 5.591
3.470 2.003 5.604
5.193 1.008 2.823
3.470 3.993 2.823
0.000 4.006 2.845
```

Principal peaks in the range 2θ = 10–80°, most intense first:
d (Å)  2theta  I/Imax
2.831  31.61  100
2.451  36.66  51
1.733  52.82  35
1.479  62.85  31
1.477  62.94  11
4.903  18.09  10
1.416  65.97  9
3.466  25.70  8
1.226  77.95  6
2.193  41.17  5

=====

Entry 5:
The following is a computed powder diffraction line list of Tb12Er5Sc. It was derived from a PBE-relaxed structure, using Cu Kα.
Kinematic intensities with the Lorentz-polarization factor, no thermal factor.

```
Tb12Er5Sc
1.0
3.028 -5.348 0.000
3.028 5.348 0.000
-0.016 0.000 17.296
Tb Er Sc
12 5 1
Cartesian
1.012 1.768 2.801
1.995 1.781 11.499
1.017 0.000 5.804
1.970 0.000 14.500
1.012 -1.768 2.801
1.995 -1.781 11.499
4.046 1.781 5.798
5.029 1.768 14.495
4.071 0.000 2.796
5.024 0.000 11.492
4.046 -1.781 5.798
5.029 -1.768 14.495
3.020 3.562 8.648
3.028 1.778 0.000
3.020 0.000 8.648
3.028 -1.778 0.000
3.020 -3.562 8.648
0.000 0.000 0.000
```

Principal peaks in the range 2θ = 10–80°, most intense first:
d (Å)  2theta  I/Imax
2.711  33.04  100
2.883  31.02  69
2.896  30.88  48
2.504  35.86  46
2.983  29.96  38
2.895  30.89  33
2.858  31.30  32
1.748  52.35  29
2.481  36.21  25
1.629  56.48  22

=====

Entry 6:
The following is a computed powder diffraction line list of Tb2Er5Sc3. It was derived from a PBE-relaxed structure, using Cu Kα.
Kinematic intensities with the Lorentz-polarization factor, no thermal factor.

```
Tb2Er5Sc3
1.0
5.299 -7.018 0.000
5.299 7.018 0.000
-4.281 0.000 8.180
Tb Er Sc
4 10 6
Cartesian
1.659 1.824 0.357
-0.481 -1.824 4.447
6.798 1.824 3.733
4.657 -1.824 7.823
2.088 6.512 6.135
-0.773 1.734 5.493
2.088 3.468 6.135
1.367 -1.734 1.403
4.229 0.024 2.045
2.088 -0.024 6.135
4.949 1.734 6.777
4.229 -3.468 2.045
7.090 -1.734 2.687
4.229 -6.512 2.045
1.696 1.849 3.413
4.229 3.162 2.045
-0.444 -1.849 7.503
6.761 1.849 0.677
2.088 -3.162 6.135
4.621 -1.849 4.767
```

Principal peaks in the range 2θ = 10–80°, most intense first:
d (Å)  2theta  I/Imax
2.811  31.84  100
2.691  33.29  68
2.629  34.10  63
2.663  33.66  51
2.798  31.99  47
2.553  35.15  36
3.089  28.90  29
4.089  21.73  26
2.953  30.27  26
4.383  20.26  26

=====

Entry 7:
The following is a computed powder diffraction line list of Tb2Er3Sc3. It was derived from a PBE-relaxed structure, using Cu Kα.
Kinematic intensities with the Lorentz-polarization factor, no thermal factor.

```
Tb2Er3Sc3
1.0
-2.404 2.444 9.705
2.404 -2.444 9.705
2.404 2.444 -9.705
Tb Er Sc
2 3 3
Cartesian
0.000 0.000 4.836
0.000 0.000 14.575
0.000 0.000 0.000
2.404 0.000 7.346
0.000 2.444 2.359
2.404 0.000 2.385
0.000 0.000 9.705
0.000 2.444 7.320
```

Principal peaks in the range 2θ = 10–80°, most intense first:
d (Å)  2theta  I/Imax
2.800  31.97  100
2.404  37.41  19
2.444  36.78  17
4.667  19.02  17
2.426  37.05  17
1.470  63.24  14
1.453  64.09  13
1.714  53.47  13
1.463  63.61  13
1.722  53.20  12

=====

Entry 8:
The following is a computed powder diffraction line list of Tb11Er9Sc4. It was derived from a PBE-relaxed structure, using Cu Kα.
Kinematic intensities with the Lorentz-polarization factor, no thermal factor.

```
Tb11Er9Sc4
1.0
8.250 -12.489 0.000
8.250 12.489 0.000
0.000 0.000 3.550
Tb Er Sc
11 9 4
Cartesian
0.000 0.000 0.000
3.733 4.507 0.000
8.250 8.499 0.000
4.909 0.000 0.000
8.250 3.239 0.000
3.733 -4.507 0.000
12.767 4.507 0.000
8.250 -3.239 0.000
11.591 0.000 0.000
8.250 -8.499 0.000
12.767 -4.507 0.000
2.393 1.803 1.775
6.558 5.772 1.775
2.393 -1.803 1.775
9.943 5.772 1.775
8.250 0.000 1.775
6.558 -5.772 1.775
14.108 1.803 1.775
9.943 -5.772 1.775
14.108 -1.803 1.775
5.671 2.545 1.775
5.671 -2.545 1.775
10.829 2.545 1.775
10.829 -2.545 1.775
```

Principal peaks in the range 2θ = 10–80°, most intense first:
d (Å)  2theta  I/Imax
2.690  33.31  100
2.930  30.51  83
2.701  33.16  76
2.850  31.38  32
2.808  31.87  30
1.518  61.04  28
2.891  30.93  27
2.737  32.72  26
1.775  51.48  21
2.962  30.17  20